Computed X-ray diffraction stick pattern of Pm2NiRh3 for Cu Kα, 1.54184 Å, from a crystal structure in Alexandria, relaxed with PBE.

Largest 6 diffraction maxima, by angle, 2θ = 10–90°:
2θ/deg, intensity
32.93, 37
37.06, 91
39.34, 100
39.71, 97
61.53, 42
68.07, 35

Crystal structure
```
data_Pm2NiRh3
_cell_length_a 5.4393
_cell_length_b 5.4393
_cell_length_c 8.4904
_cell_angle_alpha 90.00
_cell_angle_beta 90.00
_cell_angle_gamma 120.00
_symmetry_space_group_name_H-M 'P 63/m m c'
_symmetry_Int_Tables_number 194
_symmetry_space_group_name_Hall '-P 6c 2c'
loop_
_atom_site_label
_atom_site_fract_x
_atom_site_fract_y
_atom_site_fract_z
_atom_site_occupancy
Pm1 0.3333 0.6667 0.0642 1
Ni1 0.0000 0.0000 0.0000 1
Rh1 0.1655 0.3310 0.7500 1
```